Calculated X-ray powder pattern of Tb3Al4 for CuKα, from a DFT-relaxed cell (GGA-PBE, Alexandria).
Neutral-atom scattering factors, no anomalous dispersion.

Peak list (10 most intense, 10° ≤ 2θ ≤ 80°, by angle)
2θ = 20.20°, I = 44
2θ = 25.97°, I = 43
2θ = 29.57°, I = 100
2θ = 29.75°, I = 69
2θ = 32.19°, I = 81
2θ = 34.03°, I = 63
2θ = 37.36°, I = 40
2θ = 37.48°, I = 39
2θ = 43.28°, I = 34
2θ = 50.54°, I = 42

Crystal structure
Cell: 5.9630 5.9630 14.2488 Å, 90.00 90.00 138.96°
Fractional positions:
Tb 0.0078 0.9922 0.7500
Tb 0.2933 0.7067 0.1000
Tb 0.2933 0.7067 0.4000
Tb 0.7067 0.2933 0.6000
Tb 0.7067 0.2933 0.9000
Tb 0.9922 0.0078 0.2500
Al 0.0000 0.0000 0.0000
Al 0.0000 0.0000 0.5000
Al 0.2854 0.7146 0.7500
Al 0.4213 0.5787 0.5981
Al 0.4213 0.5787 0.9019
Al 0.5787 0.4213 0.0981
Al 0.5787 0.4213 0.4019
Al 0.7146 0.2854 0.2500